Structure and computed powder X-ray diffraction pattern of Mg16Al12Bi (a crystal structure in the Materials Project, relaxed with PBE; Cu Kα (weighted mean of Kα1 and Kα2)).
Lines closer than 0.1° are merged.

abc: 9.185 9.185 9.185
angles: 109.47 109.47 109.47
Atoms (fractional coordinates):
Mg: 0.000 0.000 0.349
Mg: 0.000 0.315 0.599
Mg: 0.000 0.349 0.000
Mg: 0.000 0.599 0.315
Mg: 0.284 0.685 0.685
Mg: 0.315 0.000 0.599
Mg: 0.315 0.599 0.000
Mg: 0.349 0.000 0.000
Mg: 0.401 0.401 0.716
Mg: 0.401 0.716 0.401
Mg: 0.599 0.000 0.315
Mg: 0.599 0.315 0.000
Mg: 0.651 0.651 0.651
Mg: 0.685 0.284 0.685
Mg: 0.685 0.685 0.284
Mg: 0.716 0.401 0.401
Al: 0.000 0.627 0.812
Al: 0.000 0.812 0.627
Al: 0.185 0.373 0.373
Al: 0.188 0.188 0.815
Al: 0.188 0.815 0.188
Al: 0.373 0.185 0.373
Al: 0.373 0.373 0.185
Al: 0.627 0.000 0.812
Al: 0.627 0.812 0.000
Al: 0.812 0.000 0.627
Al: 0.812 0.627 0.000
Al: 0.815 0.188 0.188
Bi: 0.000 0.000 0.000

Most intense lines, 10° ≤ 2θ ≤ 80°, by angle:
11.8°, I = 64; 20.5°, I = 32; 26.6°, I = 20; 31.6°, I = 35; 35.9°, I = 100; 39.9°, I = 21; 41.7°, I = 19; 46.9°, I = 14; 61.9°, I = 19; 64.6°, I = 29